[1]
Structure and computed powder diffractogram of EuCu2 (a cell relaxed with GGA-PBE; Cu Kα (weighted mean of Kα1 and Kα2)).

Most intense lines, 2θ from 10° to 80°, sorted by position:
2θ/deg	I_rel
33.8	41.7
34.4	100.0
34.6	38.6
41.1	32.2
41.6	41.7
54.8	26.7

Crystal structure
Lattice parameters (Å, degrees): 5.637 5.637 5.637 134.16 100.89 96.57
Sites, in units of the cell vectors:
Eu1 0.296 0.046 0.250
Eu2 0.704 0.954 0.750
Cu1 0.106 0.664 0.442
Cu2 0.279 0.336 0.942
Cu3 0.721 0.664 0.058
Cu4 0.894 0.336 0.558



[2]
Structure and computed powder diffractogram of RbCaUCl6 (a cell relaxed with GGA-PBE; Cu Kα (weighted mean of Kα1 and Kα2)).

Most intense lines, 2θ from 10° to 80°, sorted by position:
2θ/deg	I_rel
12.4	42.4
15.4	71.1
18.8	100.0
24.4	31.7
27.5	43.4
35.3	82.3

Crystal structure
Lattice parameters (Å, degrees): 7.285 7.285 14.222 90.00 90.00 120.00
Sites, in units of the cell vectors:
Rb1 0.000 0.000 0.000
Rb2 0.000 0.000 0.500
Ca1 0.333 0.667 0.250
Ca2 0.667 0.333 0.750
U1 0.333 0.667 0.750
U2 0.667 0.333 0.250
Cl1 0.001 0.375 0.141
Cl2 0.001 0.626 0.359
Cl3 0.374 0.375 0.359
Cl4 0.374 0.999 0.141
Cl5 0.375 0.001 0.641
Cl6 0.375 0.374 0.859
Cl7 0.625 0.626 0.141
Cl8 0.625 0.999 0.359
Cl9 0.626 0.001 0.859
Cl10 0.626 0.625 0.641
Cl11 0.999 0.374 0.641
Cl12 0.999 0.625 0.859



[3]
Structure and computed powder diffractogram of Ba8Rh3I (a cell relaxed with GGA-PBE; Cu Kα (weighted mean of Kα1 and Kα2)).

Most intense lines, 2θ from 10° to 80°, sorted by position:
2θ/deg	I_rel
12.1	34.6
21.9	13.0
23.0	24.3
27.1	100.0
37.8	37.6
39.5	34.1

Crystal structure
Lattice parameters (Å, degrees): 9.140 9.140 9.153 117.27 117.27 62.83
Sites, in units of the cell vectors:
Ba1 0.208 0.761 0.740
Ba2 0.239 0.239 0.708
Ba3 0.239 0.792 0.260
Ba4 0.245 0.245 0.256
Ba5 0.755 0.755 0.744
Ba6 0.761 0.208 0.740
Ba7 0.761 0.761 0.292
Ba8 0.792 0.239 0.260
Rh1 0.000 0.000 0.000
Rh2 0.000 0.500 0.500
Rh3 0.500 0.000 0.500
I1 0.500 0.500 0.000



[4]
Structure and computed powder diffractogram of Pd3SF (a cell relaxed with GGA-PBE; Cu Kα (weighted mean of Kα1 and Kα2)).

Most intense lines, 2θ from 10° to 80°, sorted by position:
2θ/deg	I_rel
19.8	48.8
34.6	100.0
40.2	71.9
45.2	21.3
58.1	46.7
69.5	37.4

Crystal structure
Lattice parameters (Å, degrees): 4.488 4.488 4.488 90.00 90.00 90.00
Sites, in units of the cell vectors:
Pd1 0.000 0.000 0.500
Pd2 0.000 0.500 0.000
Pd3 0.500 0.000 0.000
S1 0.000 0.000 0.000
F1 0.500 0.500 0.500



[5]
Structure and computed powder diffractogram of CaBeAu4 (a cell relaxed with GGA-PBE; Cu Kα (weighted mean of Kα1 and Kα2)).

Most intense lines, 2θ from 10° to 80°, sorted by position:
2θ/deg	I_rel
25.9	29.3
33.0	39.4
35.8	100.0
36.7	46.1
37.9	72.1
42.8	36.6

Crystal structure
Lattice parameters (Å, degrees): 6.534 6.534 7.312 98.33 98.33 129.71
Sites, in units of the cell vectors:
Ca1 0.070 0.930 0.750
Ca2 0.930 0.070 0.250
Be1 0.450 0.550 0.750
Be2 0.550 0.450 0.250
Au1 0.010 0.635 0.354
Au2 0.285 0.502 0.038
Au3 0.365 0.990 0.146
Au4 0.498 0.715 0.462
Au5 0.502 0.285 0.538
Au6 0.635 0.010 0.854
Au7 0.715 0.498 0.962
Au8 0.990 0.365 0.646



[6]
Structure and computed powder diffractogram of CePbSe3 (a cell relaxed with GGA-PBE; Cu Kα (weighted mean of Kα1 and Kα2)).

Most intense lines, 2θ from 10° to 80°, sorted by position:
2θ/deg	I_rel
20.6	100.0
23.2	47.3
24.4	68.4
32.5	64.0
35.9	56.1
37.5	65.5

Crystal structure
Lattice parameters (Å, degrees): 7.860 7.860 8.447 96.26 96.26 41.01
Sites, in units of the cell vectors:
Ce1 0.132 0.132 0.414
Ce2 0.868 0.868 0.586
Pb1 0.359 0.359 0.150
Pb2 0.641 0.641 0.850
Se1 0.055 0.055 0.708
Se2 0.166 0.166 0.095
Se3 0.332 0.332 0.506
Se4 0.668 0.668 0.494
Se5 0.834 0.834 0.905
Se6 0.945 0.945 0.292



[7]
Structure and computed powder diffractogram of Ca5Tl2 (a cell relaxed with GGA-PBE; Cu Kα (weighted mean of Kα1 and Kα2)).

Most intense lines, 2θ from 10° to 80°, sorted by position:
2θ/deg	I_rel
18.8	97.4
20.5	79.4
22.3	50.2
30.7	34.1
32.6	100.0
39.0	31.1

Crystal structure
Lattice parameters (Å, degrees): 9.303 9.303 9.230 98.92 98.92 38.05
Sites, in units of the cell vectors:
Ca1 0.064 0.359 0.320
Ca2 0.164 0.836 0.750
Ca3 0.231 0.585 0.069
Ca4 0.359 0.064 0.820
Ca5 0.415 0.769 0.431
Ca6 0.585 0.231 0.569
Ca7 0.641 0.936 0.180
Ca8 0.769 0.415 0.931
Ca9 0.836 0.164 0.250
Ca10 0.936 0.641 0.680
Tl1 0.094 0.691 0.410
Tl2 0.309 0.906 0.090
Tl3 0.691 0.094 0.910
Tl4 0.906 0.309 0.590



[8]
Structure and computed powder diffractogram of Li2Nd2Ge3 (a cell relaxed with GGA-PBE; Cu Kα (weighted mean of Kα1 and Kα2)).

Most intense lines, 2θ from 10° to 80°, sorted by position:
2θ/deg	I_rel
25.6	22.1
31.4	18.2
33.0	75.9
33.8	100.0
40.5	32.2
43.6	19.6

Crystal structure
Lattice parameters (Å, degrees): 9.642 9.642 6.953 90.00 90.00 153.29
Sites, in units of the cell vectors:
Li1 0.191 0.809 0.562
Li2 0.191 0.809 0.938
Li3 0.809 0.191 0.062
Li4 0.809 0.191 0.438
Nd1 0.343 0.657 0.750
Nd2 0.448 0.552 0.250
Nd3 0.552 0.448 0.750
Nd4 0.657 0.343 0.250
Ge1 0.062 0.938 0.066
Ge2 0.062 0.938 0.434
Ge3 0.280 0.720 0.250
Ge4 0.720 0.280 0.750
Ge5 0.938 0.062 0.566
Ge6 0.938 0.062 0.934